Entry 1:
Starting from a structure optimized by DFT (GGA+U), the powder diffraction line list of Rb3FeO4 was simulated for Cu Kα X-rays.

Most intense lines, 10 to 90 degrees two-theta, sorted by position:
h k l	d (Å)	Position (°2θ)	I_rel
0 2 2	3.142	28.41	100
2 2 0	3.108	28.73	89
0 3 1	3.021	29.57	19
2 0 2	2.880	31.06	71
0 1 3	2.638	33.98	21
2 3 0	2.530	35.48	25
0 4 0	2.436	36.90	29
0 0 4	2.055	44.06	28
2 4 2	1.860	48.98	23
2 2 4	1.715	53.42	26

Cell: 8.0699 9.7448 8.2217 Å, 90.00 90.00 90.00°
Space group Pnma (No. 62)
Unique sites:
1 Rb 0.0342 0.0360 0.2205 (multiplicity 8)
2 Rb 0.1746 0.7500 0.4410 (multiplicity 4)
3 Fe 0.2280 0.7500 0.9914 (multiplicity 4)
4 O 0.0292 0.7500 0.0720 (multiplicity 4)
5 O 0.1843 0.0897 0.5426 (multiplicity 8)
6 O 0.2179 0.7500 0.7805 (multiplicity 4)

Entry 2:
Starting from a structure optimized by DFT (GGA+U), the powder diffraction line list of PmGa4Co3O12 was simulated for Cu Kα X-rays.

Most intense lines, 10 to 90 degrees two-theta, sorted by position:
h k l	d (Å)	Position (°2θ)	I_rel
1 1 0	5.249	16.89	11
2 1 1	3.031	29.47	3
2 2 0	2.625	34.16	100
3 0 1	2.348	38.34	9
3 1 2	1.984	45.73	9
4 0 0	1.856	49.09	24
4 2 2	1.515	61.16	48
4 3 1	1.456	63.94	3
4 4 0	1.312	71.95	12
6 2 0	1.174	82.11	17

Cell: 7.4237 7.4237 7.4237 Å, 90.00 90.00 90.00°
Space group Im-3 (No. 204)
Unique sites:
1 Pm 0.0000 0.0000 0.0000 (multiplicity 2)
2 Ga 0.2500 0.2500 0.2500 (multiplicity 8)
3 Co 0.0000 0.0000 0.5000 (multiplicity 6)
4 O 0.0000 0.3100 0.1708 (multiplicity 24)